Theoretical powder diffraction line list
Compound: K2ThS2Br2
Radiation: Cu Kα (weighted mean of Kα1 and Kα2)
Structure: a PBE-relaxed structure
Intensities are scaled so that the largest is 100.

Cell: 9.238 9.238 9.238 Å, 145.64 145.64 49.39°
Fractional positions:
K  0.126  0.126  0.000
K  0.874  0.874  0.000
Th  0.500  0.500  0.000
S  0.000  0.500  0.500
S  0.500  0.000  0.500
Br  0.325  0.325  0.000
Br  0.675  0.675  0.000

Top 12 peaks for 10° ≤ 2θ ≤ 90°, sorted by position:
two_theta, intensity
10.5, 49
17.1, 100
23.0, 72
31.3, 65
32.0, 20
32.8, 53
37.2, 30
39.8, 22
46.0, 44
46.5, 27
47.1, 19
63.3, 21

Theoretical powder diffraction line list
Compound: K2SbBr5
Radiation: Cu Kα (weighted mean of Kα1 and Kα2)
Structure: a PBE-relaxed structure
Intensities are scaled so that the largest is 100.

Cell: 7.407 7.407 7.407 Å, 113.49 113.49 101.71°
Fractional positions:
K  0.000  0.500  0.500
K  0.500  0.000  0.500
Sb  0.254  0.254  0.000
Br  0.003  0.003  0.511
Br  0.003  0.491  0.000
Br  0.491  0.003  0.000
Br  0.491  0.491  0.489
Br  0.983  0.983  0.000

Top 12 peaks for 10° ≤ 2θ ≤ 90°, sorted by position:
two_theta, intensity
14.4, 74
15.4, 21
19.0, 37
26.3, 27
29.1, 88
31.1, 100
36.7, 28
38.5, 27
44.6, 36
50.3, 49
54.2, 28
60.4, 27

Theoretical powder diffraction line list
Compound: K2ScBr5
Radiation: Cu Kα (weighted mean of Kα1 and Kα2)
Structure: a PBE-relaxed structure
Intensities are scaled so that the largest is 100.

Cell: 9.798 7.520 14.994 Å, 90.00 90.00 90.00°
Fractional positions:
K  0.052  0.250  0.195
K  0.182  0.750  0.413
K  0.318  0.250  0.913
K  0.448  0.750  0.695
K  0.552  0.250  0.305
K  0.682  0.750  0.087
K  0.818  0.250  0.587
K  0.948  0.750  0.805
Sc  0.193  0.750  0.057
Sc  0.307  0.250  0.557
Sc  0.693  0.750  0.443
Sc  0.807  0.250  0.943
Br  0.000  0.000  0.000
Br  0.000  0.500  0.000
Br  0.055  0.750  0.207
Br  0.147  0.504  0.604
Br  0.147  0.996  0.604
Br  0.228  0.250  0.385
Br  0.272  0.750  0.885
Br  0.353  0.004  0.104
Br  0.353  0.496  0.104
Br  0.445  0.250  0.707
Br  0.500  0.000  0.500
Br  0.500  0.500  0.500
Br  0.555  0.750  0.293
Br  0.647  0.504  0.896
Br  0.647  0.996  0.896
Br  0.728  0.250  0.115
Br  0.772  0.750  0.615
Br  0.853  0.004  0.396
Br  0.853  0.496  0.396
Br  0.945  0.250  0.793

Top 12 peaks for 10° ≤ 2θ ≤ 90°, sorted by position:
two_theta, intensity
16.0, 29
26.5, 24
28.0, 46
28.1, 56
30.0, 42
30.6, 54
31.2, 100
32.3, 41
35.0, 37
44.5, 25
47.9, 30
48.4, 24

Theoretical powder diffraction line list
Compound: K2ScBr5
Radiation: Cu Kα (weighted mean of Kα1 and Kα2)
Structure: a PBE-relaxed structure
Intensities are scaled so that the largest is 100.

Cell: 8.780 8.780 14.767 Å, 90.00 90.00 143.48°
Fractional positions:
K  0.145  0.855  0.564
K  0.145  0.855  0.936
K  0.855  0.145  0.064
K  0.855  0.145  0.436
Sc  0.153  0.847  0.250
Sc  0.847  0.153  0.750
Br  0.044  0.956  0.125
Br  0.044  0.956  0.375
Br  0.268  0.732  0.120
Br  0.268  0.732  0.380
Br  0.333  0.667  0.750
Br  0.667  0.333  0.250
Br  0.732  0.268  0.620
Br  0.732  0.268  0.880
Br  0.956  0.044  0.625
Br  0.956  0.044  0.875

Top 12 peaks for 10° ≤ 2θ ≤ 90°, sorted by position:
two_theta, intensity
10.6, 45
12.2, 93
17.0, 100
21.0, 48
24.9, 42
28.0, 83
32.0, 93
32.4, 53
32.5, 90
34.9, 66
36.4, 67
43.5, 48

Theoretical powder diffraction line list
Compound: K3Sc2Br9
Radiation: Cu Kα (weighted mean of Kα1 and Kα2)
Structure: a PBE-relaxed structure
Intensities are scaled so that the largest is 100.

Cell: 9.951 9.951 9.951 Å, 82.38 82.38 82.38°
Fractional positions:
K  0.076  0.750  0.424
K  0.250  0.576  0.924
K  0.424  0.076  0.750
K  0.576  0.924  0.250
K  0.750  0.424  0.076
K  0.924  0.250  0.576
Sc  0.155  0.155  0.155
Sc  0.345  0.345  0.345
Sc  0.655  0.655  0.655
Sc  0.845  0.845  0.845
Br  0.077  0.915  0.733
Br  0.085  0.267  0.923
Br  0.092  0.408  0.250
Br  0.233  0.415  0.577
Br  0.250  0.092  0.408
Br  0.267  0.923  0.085
Br  0.408  0.250  0.092
Br  0.415  0.577  0.233
Br  0.423  0.767  0.585
Br  0.577  0.233  0.415
Br  0.585  0.423  0.767
Br  0.592  0.750  0.908
Br  0.733  0.077  0.915
Br  0.750  0.908  0.592
Br  0.767  0.585  0.423
Br  0.908  0.592  0.750
Br  0.915  0.733  0.077
Br  0.923  0.085  0.267

Top 12 peaks for 10° ≤ 2θ ≤ 90°, sorted by position:
two_theta, intensity
13.5, 15
27.2, 14
27.6, 23
30.6, 100
39.2, 23
48.1, 21
50.7, 20
56.4, 17
58.1, 14
72.5, 6
77.7, 7
78.7, 11

Theoretical powder diffraction line list
Compound: K3ScBr8
Radiation: Cu Kα (weighted mean of Kα1 and Kα2)
Structure: a PBE-relaxed structure
Intensities are scaled so that the largest is 100.

Cell: 9.328 9.328 9.328 Å, 133.06 133.06 68.56°
Fractional positions:
K  0.000  0.000  0.000
K  0.250  0.750  0.500
K  0.750  0.250  0.500
Sc  0.500  0.500  0.000
Br  0.168  0.168  0.557
Br  0.168  0.612  0.000
Br  0.388  0.388  0.557
Br  0.388  0.832  0.000
Br  0.612  0.168  0.000
Br  0.612  0.612  0.443
Br  0.832  0.388  0.000
Br  0.832  0.832  0.443

Top 12 peaks for 10° ≤ 2θ ≤ 90°, sorted by position:
two_theta, intensity
13.2, 16
20.5, 20
23.1, 23
24.0, 44
33.5, 100
34.1, 48
41.6, 14
47.1, 14
49.0, 13
53.5, 12
60.7, 22
70.4, 13

Theoretical powder diffraction line list
Compound: KSe2Br4
Radiation: Cu Kα (weighted mean of Kα1 and Kα2)
Structure: a PBE-relaxed structure
Intensities are scaled so that the largest is 100.

Cell: 7.608 8.839 9.688 Å, 77.77 88.09 65.13°
Fractional positions:
K  0.000  0.000  0.000
K  0.241  0.560  0.666
Se  0.288  0.237  0.338
Se  0.322  0.461  0.203
Se  0.564  0.090  0.832
Se  0.595  0.801  0.802
Br  0.135  0.711  0.319
Br  0.231  0.932  0.698
Br  0.476  0.892  0.058
Br  0.558  0.352  0.959
Br  0.644  0.212  0.598
Br  0.717  0.761  0.569
Br  0.942  0.641  0.924
Br  0.988  0.240  0.256

Top 12 peaks for 10° ≤ 2θ ≤ 90°, sorted by position:
two_theta, intensity
13.0, 100
15.4, 65
16.4, 83
20.8, 73
23.5, 55
24.5, 52
25.6, 36
28.1, 100
30.4, 57
30.5, 65
32.9, 66
39.8, 48

Theoretical powder diffraction line list
Compound: KSmSeBr
Radiation: Cu Kα (weighted mean of Kα1 and Kα2)
Structure: a PBE-relaxed structure
Intensities are scaled so that the largest is 100.

Cell: 8.457 8.457 8.457 Å, 28.68 28.68 28.68°
Fractional positions:
K  0.000  0.000  0.000
Sm  0.183  0.183  0.183
Se  0.583  0.583  0.583
Br  0.769  0.769  0.769

Top 12 peaks for 10° ≤ 2θ ≤ 90°, sorted by position:
two_theta, intensity
10.9, 61
25.6, 48
30.7, 100
35.8, 33
43.2, 41
44.7, 21
44.9, 28
53.9, 20
63.9, 16
64.0, 10
71.5, 17
80.4, 10

Please write out number 2 again, unchanged.
Theoretical powder diffraction line list
Compound: K2SbBr5
Radiation: Cu Kα (weighted mean of Kα1 and Kα2)
Structure: a PBE-relaxed structure
Intensities are scaled so that the largest is 100.

Cell: 7.407 7.407 7.407 Å, 113.49 113.49 101.71°
Fractional positions:
K  0.000  0.500  0.500
K  0.500  0.000  0.500
Sb  0.254  0.254  0.000
Br  0.003  0.003  0.511
Br  0.003  0.491  0.000
Br  0.491  0.003  0.000
Br  0.491  0.491  0.489
Br  0.983  0.983  0.000

Top 12 peaks for 10° ≤ 2θ ≤ 90°, sorted by position:
two_theta, intensity
14.4, 74
15.4, 21
19.0, 37
26.3, 27
29.1, 88
31.1, 100
36.7, 28
38.5, 27
44.6, 36
50.3, 49
54.2, 28
60.4, 27